(1)
# Tm3Zr3CuTe2
Simulated powder diffractogram, copper Kα. Input: a GGA-PBE-relaxed structure.
Neutral-atom scattering factors, no anomalous dispersion.

```
Tm3Zr3CuTe2
1.0
8.0683 0.0000 0.0000
-4.0342 6.9874 0.0000
0.0000 0.0000 3.7146
Tm Zr Cu Te
3 3 1 2
Direct
0.0000 0.2467 0.0000
0.2467 0.0000 0.0000
0.7533 0.7533 0.0000
0.0000 0.5910 0.5000
0.4090 0.4090 0.5000
0.5910 0.0000 0.5000
0.0000 0.0000 0.5000
0.3333 0.6667 0.0000
0.6667 0.3333 0.0000
```

The 6 most intense peaks (15 to 90 degrees two-theta), in order of rising 2θ:
d (Å)	I (rel.)
2.733	100.0
2.641	91.6
2.545	81.8
2.329	38.3
2.152	58.6
1.472	38.3

***

(2)
# Y2CuTe6
Simulated powder diffractogram, copper Kα. Input: a GGA-PBE-relaxed structure.
Neutral-atom scattering factors, no anomalous dispersion.

```
Y2CuTe6
1.0
8.4002 0.0000 0.0000
-4.2001 7.2748 0.0000
0.0000 0.0000 3.9914
Y Cu Te
2 1 6
Direct
0.3333 0.6667 0.0000
0.6667 0.3333 0.0000
0.0000 0.0000 0.5000
0.0000 0.2274 0.0000
0.0000 0.5470 0.5000
0.2274 0.0000 0.0000
0.4530 0.4530 0.5000
0.5470 0.0000 0.5000
0.7726 0.7726 0.0000
```

The 6 most intense peaks (15 to 90 degrees two-theta), in order of rising 2θ:
d (Å)	I (rel.)
2.893	50.3
2.750	67.3
2.688	100.0
2.264	22.7
1.996	18.8
1.615	26.9

***

(3)
# YCuTe2
Simulated powder diffractogram, copper Kα. Input: a GGA-PBE-relaxed structure.
Neutral-atom scattering factors, no anomalous dispersion.

```
YCuTe2
1.0
4.3702 0.0000 0.0000
-2.1851 3.7847 0.0000
0.0000 0.0000 6.8990
Y Cu Te
1 1 2
Direct
0.0000 0.0000 0.0000
0.3333 0.6667 0.6307
0.3333 0.6667 0.2470
0.6667 0.3333 0.7223
```

The 6 most intense peaks (15 to 90 degrees two-theta), in order of rising 2θ:
d (Å)	I (rel.)
3.318	100.0
2.549	54.0
2.185	57.5
1.965	29.5
1.846	15.4
1.825	17.8

***

(4)
# TlCu15
Simulated powder diffractogram, copper Kα. Input: a GGA-PBE-relaxed structure.
Neutral-atom scattering factors, no anomalous dispersion.

```
TlCu15
1.0
5.1109 0.0000 0.0000
0.0000 3.5563 0.0000
-0.0360 0.0000 34.2316
Tl Cu
2 30
Direct
0.1250 0.2500 0.2999
0.8750 0.7500 0.7001
0.1248 0.2500 0.0557
0.1250 0.2500 0.1291
0.1249 0.2500 0.2033
0.1255 0.2500 0.9067
0.1253 0.2500 0.9813
0.1257 0.2500 0.8331
0.1294 0.2500 0.7595
0.3752 0.7500 0.0186
0.3752 0.7500 0.7218
0.3749 0.7500 0.7965
0.3751 0.7500 0.8695
0.3748 0.7500 0.9438
0.3755 0.7500 0.0931
0.3757 0.7500 0.1667
0.3792 0.7500 0.2404
0.6208 0.2500 0.7596
0.6243 0.2500 0.8333
0.6245 0.2500 0.9069
0.6252 0.2500 0.0562
0.6249 0.2500 0.1305
0.6251 0.2500 0.2035
0.6248 0.2500 0.2782
0.6248 0.2500 0.9814
0.8706 0.7500 0.2405
0.8743 0.7500 0.1669
0.8747 0.7500 0.0187
0.8745 0.7500 0.0933
0.8751 0.7500 0.7967
0.8750 0.7500 0.8709
0.8752 0.7500 0.9443
```

The 6 most intense peaks (15 to 90 degrees two-theta), in order of rising 2θ:
d (Å)	I (rel.)
2.116	54.5
2.074	100.0
2.015	25.2
1.834	34.3
1.777	31.0
1.277	28.1

***

(5)
# TlCu17
Simulated powder diffractogram, copper Kα. Input: a GGA-PBE-relaxed structure.
Neutral-atom scattering factors, no anomalous dispersion.

```
TlCu17
1.0
5.0926 0.0000 0.0000
-2.5463 4.4103 0.0000
0.0000 0.0000 31.7567
Tl Cu
2 34
Direct
0.3333 0.6667 0.2969
0.6667 0.3333 0.7031
0.0000 0.0000 0.0000
0.0000 0.0000 0.1964
0.0000 0.0000 0.8036
0.0000 0.5000 0.0000
0.0022 0.5011 0.1965
0.1664 0.3328 0.1309
0.1664 0.8336 0.1309
0.1665 0.3330 0.9347
0.1668 0.3335 0.7385
0.1668 0.8332 0.7385
0.1665 0.8335 0.9347
0.3328 0.1664 0.8691
0.3330 0.1665 0.0653
0.3333 0.6667 0.0655
0.3333 0.6667 0.8692
0.3335 0.1668 0.2615
0.4989 0.5011 0.1965
0.4989 0.9978 0.1965
0.5000 0.0000 0.0000
0.5000 0.5000 0.0000
0.5011 0.0022 0.8035
0.5011 0.4989 0.8035
0.6665 0.8332 0.7385
0.6667 0.3333 0.1308
0.6667 0.3333 0.9345
0.6670 0.8335 0.9347
0.6672 0.8336 0.1309
0.8335 0.1665 0.0653
0.8332 0.1668 0.2615
0.8332 0.6665 0.2615
0.8335 0.6670 0.0653
0.8336 0.1664 0.8691
0.8336 0.6672 0.8691
0.9978 0.4989 0.8035
```

The 6 most intense peaks (15 to 90 degrees two-theta), in order of rising 2θ:
d (Å)	I (rel.)
2.125	35.8
2.083	100.0
1.985	24.7
1.870	21.0
1.811	48.8
1.273	28.0

***

(6)
# TlCu15
Simulated powder diffractogram, copper Kα. Input: a GGA-PBE-relaxed structure.
Neutral-atom scattering factors, no anomalous dispersion.

```
TlCu15
1.0
7.0704 0.0000 0.0000
0.0000 2.6040 0.0000
-0.0065 0.0000 34.0800
Tl Cu
2 30
Direct
0.1250 0.2500 0.1974
0.8750 0.7500 0.8026
0.1225 0.2500 0.6678
0.1249 0.2500 0.2930
0.1250 0.2500 0.3696
0.1250 0.2500 0.4443
0.1248 0.2500 0.5184
0.1247 0.2500 0.5929
0.1256 0.2500 0.7434
0.3725 0.7500 0.3321
0.3747 0.7500 0.4070
0.3748 0.7500 0.4814
0.3750 0.7500 0.5556
0.3750 0.7500 0.6302
0.3749 0.7500 0.7041
0.3750 0.7500 0.7780
0.3756 0.7500 0.2566
0.6244 0.2500 0.7434
0.6250 0.2500 0.2220
0.6251 0.2500 0.2959
0.6250 0.2500 0.3698
0.6250 0.2500 0.4444
0.6252 0.2500 0.5186
0.6253 0.2500 0.5930
0.6275 0.2500 0.6679
0.8744 0.7500 0.2566
0.8753 0.7500 0.4071
0.8752 0.7500 0.4816
0.8750 0.7500 0.5557
0.8750 0.7500 0.6304
0.8751 0.7500 0.7070
0.8775 0.7500 0.3322
```

The 6 most intense peaks (15 to 90 degrees two-theta), in order of rising 2θ:
d (Å)	I (rel.)
2.106	52.4
2.096	100.0
2.005	20.2
1.847	34.2
1.767	28.5
1.277	18.5

***

(7)
# TlCu7
Simulated powder diffractogram, copper Kα. Input: a GGA-PBE-relaxed structure.
Neutral-atom scattering factors, no anomalous dispersion.

```
TlCu7
1.0
2.6870 0.0000 0.0000
0.0000 3.4563 0.0000
0.0000 0.0000 34.0981
Tl Cu
2 14
Direct
0.2500 0.2500 0.1999
0.7500 0.7500 0.8001
0.2500 0.2500 0.2957
0.2500 0.2500 0.3706
0.2500 0.2500 0.4446
0.2500 0.2500 0.5183
0.2500 0.2500 0.5921
0.2500 0.2500 0.6662
0.2500 0.2500 0.7403
0.7500 0.7500 0.2597
0.7500 0.7500 0.3338
0.7500 0.7500 0.4079
0.7500 0.7500 0.4817
0.7500 0.7500 0.5554
0.7500 0.7500 0.6294
0.7500 0.7500 0.7043
```

The 6 most intense peaks (15 to 90 degrees two-theta), in order of rising 2θ:
d (Å)	I (rel.)
2.308	18.9
2.193	23.1
2.121	100.0
2.089	50.4
1.877	34.8
1.728	25.6